No. 1
LaVS3: theoretical powder XRD pattern (CuKα), based on a structure optimized by DFT (PBE).
No peak broadening, texture or thermal motion is included.

Atomic structure:
```
data_LaVS3
_space_group_name_H-M_alt 'P n m a'
_space_group_IT_number 62
_cell_length_a 7.802
_cell_length_b 3.679
_cell_length_c 13.420
_cell_angle_alpha 90.00
_cell_angle_beta 90.00
_cell_angle_gamma 90.00
loop_
_space_group_symop_operation_xyz
'x,y,z'
'-x,-y,-z'
'-x+1/2,-y,z+1/2'
'x+1/2,y,-z+1/2'
'x+1/2,-y+1/2,-z+1/2'
'-x+1/2,y+1/2,z+1/2'
'-x,y+1/2,-z'
'x,-y+1/2,z'
loop_
_atom_site_label
_atom_site_fract_x
_atom_site_fract_y
_atom_site_fract_z
La1 0.082 0.250 0.169
V1 0.125 0.750 0.455
S1 0.027 0.750 0.615
S2 0.170 0.750 0.004
S3 0.208 0.250 0.794
```

Main lines, sorted by position (15° ≤ 2θ ≤ 90°):
2θ/deg, I/Imax, index
22.92, 97, 1 0 3
23.75, 59, 2 0 1
25.10, 53, 0 1 1
29.97, 51, 1 1 2
33.56, 62, 1 1 3
34.16, 65, 2 1 1
35.33, 53, 1 0 5
36.13, 100, 2 1 2
41.65, 54, 0 1 5
44.06, 38, 3 0 4



No. 2
Ca5NdHg6: theoretical powder XRD pattern (CuKα), based on a structure optimized by DFT (PBE).
No peak broadening, texture or thermal motion is included.

Atomic structure:
```
data_Ca5NdHg6
_space_group_name_H-M_alt 'C m m m'
_space_group_IT_number 65
_space_group_name_Hall '-C 2 2'
_cell_length_a 5.369
_cell_length_b 16.059
_cell_length_c 7.620
_cell_angle_alpha 90.00
_cell_angle_beta 90.00
_cell_angle_gamma 90.00
loop_
_atom_site_label
_atom_site_fract_x
_atom_site_fract_y
_atom_site_fract_z
Ca1 0.000 0.000 0.000
Ca2 0.000 0.332 0.500
Ca3 0.000 0.334 0.000
Nd1 0.000 0.000 0.500
Hg1 0.000 0.166 0.251
Hg2 0.000 0.500 0.252
```

Main lines, sorted by position (15° ≤ 2θ ≤ 90°):
2θ/deg, I/Imax, index
23.35, 14, 0 0 2
23.47, 27, 1 3 0
33.35, 100, 2 0 0
33.48, 20, 0 6 0
41.18, 14, 2 0 2
48.00, 14, 2 6 0
59.53, 15, 2 0 4
59.64, 15, 3 3 2
59.76, 15, 1 9 2
70.04, 12, 4 0 0



No. 3
Tb3Nd6Tm2: theoretical powder XRD pattern (CuKα), based on a structure optimized by DFT (PBE).
No peak broadening, texture or thermal motion is included.

Atomic structure:
```
data_Tb3Nd6Tm2
_space_group_name_H-M_alt 'P -1'
_space_group_IT_number 2
_cell_length_a 6.151
_cell_length_b 6.842
_cell_length_c 9.839
_cell_angle_alpha 89.52
_cell_angle_beta 89.62
_cell_angle_gamma 63.58
loop_
_space_group_symop_operation_xyz
'x,y,z'
'-x,-y,-z'
loop_
_atom_site_label
_atom_site_fract_x
_atom_site_fract_y
_atom_site_fract_z
Tb1 0.000 0.000 0.000
Tb2 0.160 0.819 0.634
Nd1 0.248 0.643 0.273
Nd2 0.289 0.275 0.547
Nd3 0.395 0.105 0.185
Tm1 0.236 0.451 0.901
```

Main lines, sorted by position (15° ≤ 2θ ≤ 90°):
2θ/deg, I/Imax, index
29.04, 41, 2 1 0
30.62, 64, 0 2 -1
31.71, 55, 1 0 3
31.89, 55, 1 2 2
31.91, 100, 1 1 -3
42.54, 14, 2 -1 1
42.85, 15, 2 3 -1
48.52, 23, 0 1 5
54.99, 13, 1 -2 4
55.24, 23, 1 3 -4



No. 4
CuSi2As: theoretical powder XRD pattern (CuKα), based on a structure optimized by DFT (PBE).
No peak broadening, texture or thermal motion is included.

Atomic structure:
```
data_CuSi2As
_space_group_name_H-M_alt 'P 1 m 1'
_space_group_IT_number 6
_cell_length_a 2.584
_cell_length_b 3.344
_cell_length_c 7.447
_cell_angle_alpha 90.00
_cell_angle_beta 99.38
_cell_angle_gamma 90.00
loop_
_space_group_symop_operation_xyz
'x,y,z'
'x,-y,z'
loop_
_atom_site_label
_atom_site_fract_x
_atom_site_fract_y
_atom_site_fract_z
Cu1 0.000 0.000 0.000
Si1 0.273 0.000 0.549
Si2 0.407 0.500 0.812
As1 0.142 0.500 0.274
```

Main lines, sorted by position (15° ≤ 2θ ≤ 90°):
2θ/deg, I/Imax, index
29.35, 24, 0 1 1
35.21, 27, 1 0 0
35.34, 27, 1 0 -1
36.33, 100, 0 1 2
48.08, 33, 1 1 1
48.39, 33, 1 1 -2
49.63, 16, 0 0 4
54.92, 23, 0 2 0
56.17, 13, 1 0 3
66.97, 15, 1 2 0



No. 5
Pm2Sm2Cd: theoretical powder XRD pattern (CuKα), based on a structure optimized by DFT (PBE).
No peak broadening, texture or thermal motion is included.

Atomic structure:
```
data_Pm2Sm2Cd
_space_group_name_H-M_alt 'I 41/a m d'
_space_group_IT_number 141
_cell_length_a 5.204
_cell_length_b 5.204
_cell_length_c 25.226
_cell_angle_alpha 90.00
_cell_angle_beta 90.00
_cell_angle_gamma 90.00
loop_
_space_group_symop_operation_xyz
'x,y,z'
'-x,-y,-z'
'-y+1/4,x+3/4,z+1/4'
'y+1/4,-x+3/4,-z+1/4'
'-x+1/2,-y,z+1/2'
'x+1/2,y,-z+1/2'
'y+1/4,-x+1/4,z+3/4'
'-y+1/4,x+1/4,-z+3/4'
'x,-y,-z'
'-x,y,z'
'-y+1/4,-x+1/4,-z+3/4'
'y+1/4,x+1/4,z+3/4'
'-x+1/2,y,-z+1/2'
'x+1/2,-y,z+1/2'
'y+1/4,x+3/4,-z+1/4'
'-y+1/4,-x+3/4,z+1/4'
'x+1/2,y+1/2,z+1/2'
'-x+1/2,-y+1/2,-z+1/2'
'-y+3/4,x+1/4,z+3/4'
'y+3/4,-x+1/4,-z+3/4'
'-x,-y+1/2,z'
'x,y+1/2,-z'
'y+3/4,-x+3/4,z+1/4'
'-y+3/4,x+3/4,-z+1/4'
'x+1/2,-y+1/2,-z+1/2'
'-x+1/2,y+1/2,z+1/2'
'-y+3/4,-x+3/4,-z+1/4'
'y+3/4,x+3/4,z+1/4'
'-x,y+1/2,-z'
'x,-y+1/2,z'
'y+3/4,x+1/4,-z+3/4'
'-y+3/4,-x+1/4,z+3/4'
loop_
_atom_site_label
_atom_site_fract_x
_atom_site_fract_y
_atom_site_fract_z
Pm1 0.000 0.250 0.046
Sm1 0.000 0.250 0.196
Cd1 0.000 0.250 0.875
```

Main lines, sorted by position (15° ≤ 2θ ≤ 90°):
2θ/deg, I/Imax, index
25.21, 23, 1 1 2
28.30, 10, 0 0 8
32.33, 100, 1 1 6
34.47, 47, 2 0 0
43.03, 8, 0 0 12
45.18, 11, 2 0 8
49.54, 17, 2 2 0
56.26, 15, 2 0 12
60.41, 33, 3 1 6
67.67, 8, 2 2 12



No. 6
TaNiAg: theoretical powder XRD pattern (CuKα), based on a structure optimized by DFT (PBE).
No peak broadening, texture or thermal motion is included.

Atomic structure:
```
data_TaNiAg
_space_group_name_H-M_alt 'I 4 m m'
_space_group_IT_number 107
_space_group_name_Hall 'I 4 -2'
_cell_length_a 3.235
_cell_length_b 3.235
_cell_length_c 8.865
_cell_angle_alpha 90.00
_cell_angle_beta 90.00
_cell_angle_gamma 90.00
loop_
_atom_site_label
_atom_site_fract_x
_atom_site_fract_y
_atom_site_fract_z
Ta1 0.000 0.000 0.000
Ni1 0.000 0.000 0.355
Ag1 0.000 0.000 0.690
```

Main lines, sorted by position (15° ≤ 2θ ≤ 90°):
2θ/deg, I/Imax, index
20.03, 8, 0 0 2
29.39, 25, 1 0 1
39.39, 60, 1 1 0
41.38, 100, 1 0 3
56.92, 20, 2 0 0
57.93, 7, 1 1 4
72.78, 36, 2 1 3
76.80, 13, 1 1 6
84.75, 6, 2 2 0
89.92, 9, 2 0 6



No. 7
Y6RuI10: theoretical powder XRD pattern (CuKα), based on a structure optimized by DFT (PBE).
No peak broadening, texture or thermal motion is included.

Atomic structure:
```
data_Y6RuI10
_space_group_name_H-M_alt 'P -1'
_space_group_IT_number 2
_cell_length_a 7.745
_cell_length_b 9.718
_cell_length_c 9.762
_cell_angle_alpha 107.04
_cell_angle_beta 96.61
_cell_angle_gamma 104.33
loop_
_space_group_symop_operation_xyz
'x,y,z'
'-x,-y,-z'
loop_
_atom_site_label
_atom_site_fract_x
_atom_site_fract_y
_atom_site_fract_z
Y1 0.034 0.220 0.418
Y2 0.115 0.543 0.260
Y3 0.347 0.623 0.666
Ru1 0.000 0.500 0.500
I1 0.088 0.872 0.320
I2 0.224 0.245 0.155
I3 0.256 0.586 0.960
I4 0.345 0.948 0.773
I5 0.455 0.315 0.592
```

Main lines, sorted by position (15° ≤ 2θ ≤ 90°):
2θ/deg, I/Imax, index
24.69, 46, -2 1 1
24.89, 15, 1 -2 2
27.95, 51, 2 0 1
28.99, 100, 1 -3 0
40.53, 16, 3 1 -2
40.63, 18, 1 3 1
40.83, 34, 1 -1 4
41.33, 17, -2 2 3
41.59, 17, 0 4 -3
50.61, 15, 2 4 -2